Entry 1:
Diffraction record for MoW3Se8. The powder diffraction line list is computed, not measured: it uses a GGA-PBE-relaxed structure and Cu Kα.

Principal peaks in the range 2θ = 10–80°, sorted by position:
- hkl 0 0 5, 2θ 11.69, intensity 100.0
- hkl 0 0 6, 2θ 14.04, intensity 17.4
- hkl 1 0 0, 2θ 31.06, intensity 32.3
- hkl 1 0 5, 2θ 33.28, intensity 14.5
- hkl 1 0 8, 2θ 36.52, intensity 67.9
- hkl 0 1 13, 2θ 44.23, intensity 45.2
- hkl 1 0 14, 2θ 46.05, intensity 14.9
- hkl 1 1 0, 2θ 55.23, intensity 24.1
- hkl 1 1 5, 2θ 56.66, intensity 11.1
- hkl 1 1 21, 2θ 78.21, intensity 11.8

Structure:
a b c (Å): 3.327 3.327 37.841
angles (deg): 90.00 90.00 120.00
Element x y z (fractional)
1 Mo 0.000 0.000 0.000
2 W 0.000 0.000 0.376
3 W 0.667 0.333 0.188
4 W 0.667 0.333 0.812
5 Se 0.000 0.000 0.143
6 Se 0.000 0.000 0.232
7 Se 0.000 0.000 0.768
8 Se 0.000 0.000 0.857
9 Se 0.667 0.333 0.044
10 Se 0.667 0.333 0.331
11 Se 0.667 0.333 0.420
12 Se 0.667 0.333 0.956

Entry 2:
Diffraction record for MoW3Se8. The powder diffraction line list is computed, not measured: it uses a GGA-PBE-relaxed structure and Cu Kα.

Principal peaks in the range 2θ = 10–80°, sorted by position:
- hkl 0 0 5, 2θ 11.68, intensity 100.0
- hkl 0 0 6, 2θ 14.03, intensity 21.9
- hkl 1 0 0, 2θ 31.11, intensity 32.8
- hkl 1 0 5, 2θ 33.32, intensity 13.3
- hkl 1 0 8, 2θ 36.55, intensity 65.5
- hkl 1 0 13, 2θ 44.25, intensity 44.4
- hkl 0 1 14, 2θ 46.06, intensity 16.5
- hkl 1 1 0, 2θ 55.33, intensity 25.0
- hkl 1 1 5, 2θ 56.75, intensity 11.1
- hkl 1 1 21, 2θ 78.26, intensity 11.6

Structure:
a b c (Å): 3.321 3.321 37.871
angles (deg): 90.00 90.00 120.00
Element x y z (fractional)
1 Mo 0.000 0.000 0.000
2 W 0.000 0.000 0.376
3 W 0.333 0.667 0.188
4 W 0.333 0.667 0.564
5 Se 0.000 0.000 0.143
6 Se 0.000 0.000 0.232
7 Se 0.000 0.000 0.519
8 Se 0.000 0.000 0.608
9 Se 0.333 0.667 0.044
10 Se 0.333 0.667 0.331
11 Se 0.333 0.667 0.420
12 Se 0.333 0.667 0.956